(1)
Starting from a crystal structure in the Materials Project, relaxed with PBE, the powder X-ray diffraction pattern of Er3Ir was simulated for Cu Kα (λ = 1.5418 Å).
No peak broadening, texture or thermal motion is included.

Largest 6 diffraction maxima, in order of falling intensity, 2θ from 5° to 70°:
two_theta, d/Å, I (rel.)
32.44, 2.760, 100
34.90, 2.571, 77
34.68, 2.587, 76
32.54, 2.751, 69
31.55, 2.836, 62
38.60, 2.332, 50

Unit cell a=7.217 b=9.170 c=6.318 alpha=90.00 beta=90.00 gamma=90.00
Sites, in units of the cell vectors:
Er 0.035 0.250 0.134
Er 0.177 0.063 0.671
Er 0.177 0.437 0.671
Er 0.323 0.563 0.171
Er 0.323 0.937 0.171
Er 0.465 0.750 0.634
Er 0.535 0.250 0.366
Er 0.677 0.063 0.829
Er 0.677 0.437 0.829
Er 0.823 0.563 0.329
Er 0.823 0.937 0.329
Er 0.965 0.750 0.866
Ir 0.118 0.750 0.453
Ir 0.382 0.250 0.953
Ir 0.618 0.750 0.047
Ir 0.882 0.250 0.547

=====

(2)
Starting from a crystal structure in the Materials Project, relaxed with PBE, the powder X-ray diffraction pattern of NpSbPd2 was simulated for Cu Kα (λ = 1.5418 Å).
No peak broadening, texture or thermal motion is included.

Largest 6 diffraction maxima, in order of falling intensity, 2θ from 5° to 70°:
two_theta, d/Å, I (rel.)
37.53, 2.396, 100
67.73, 1.384, 35
54.13, 1.694, 17
22.72, 3.913, 9
26.30, 3.389, 7
44.33, 2.044, 5

Unit cell a=4.793 b=4.793 c=4.793 alpha=60.00 beta=60.00 gamma=60.00
Sites, in units of the cell vectors:
Np 0.000 0.000 0.000
Sb 0.500 0.500 0.500
Pd 0.250 0.250 0.250
Pd 0.750 0.750 0.750

=====

(3)
Starting from a crystal structure in the Materials Project, relaxed with PBE, the powder X-ray diffraction pattern of Li2CaTa2O7 was simulated for Cu Kα (λ = 1.5418 Å).
No peak broadening, texture or thermal motion is included.

Largest 6 diffraction maxima, in order of falling intensity, 2θ from 5° to 70°:
two_theta, d/Å, I (rel.)
23.07, 3.855, 100
33.29, 2.691, 68
26.88, 3.317, 57
19.28, 4.603, 53
32.11, 2.788, 46
46.05, 1.971, 32

Unit cell a=9.618 b=9.618 c=5.581 alpha=90.00 beta=90.00 gamma=33.66
Sites, in units of the cell vectors:
Li 0.239 0.239 0.000
Li 0.239 0.239 0.500
Li 0.761 0.761 0.000
Li 0.761 0.761 0.500
Ca 0.246 0.754 0.750
Ca 0.754 0.246 0.250
Ta 0.141 0.636 0.250
Ta 0.364 0.859 0.250
Ta 0.636 0.141 0.750
Ta 0.859 0.364 0.750
O 0.078 0.495 0.250
O 0.116 0.116 0.000
O 0.116 0.116 0.500
O 0.176 0.824 0.250
O 0.414 0.414 0.000
O 0.414 0.414 0.500
O 0.495 0.078 0.750
O 0.505 0.922 0.250
O 0.586 0.586 0.000
O 0.586 0.586 0.500
O 0.824 0.176 0.750
O 0.884 0.884 0.000
O 0.884 0.884 0.500
O 0.922 0.505 0.750